Diffraction record for Pu3CS2. The powder XRD pattern is simulated, not measured: it uses DFT lattice parameters and positions (PBE) and CuKα.
Peak positions follow from Bragg's law for the DFT cell and can differ from measured ones.

Peak list (10 most intense, 2θ = 10–90°, low angle first)
- 2θ = 28.2°, rel. 91
- 2θ = 28.7°, rel. 100
- 2θ = 32.7°, rel. 56
- 2θ = 33.1°, rel. 98
- 2θ = 47.2°, rel. 73
- 2θ = 48.1°, rel. 19
- 2θ = 55.9°, rel. 36
- 2θ = 56.7°, rel. 28
- 2θ = 59.4°, rel. 21
- 2θ = 78.3°, rel. 17

Structural model:
a = 6.6984 Å, b = 6.6984 Å, c = 6.6984 Å
α = 147.19°, β = 131.81°, γ = 59.53°
Fractional positions:
Pu 0.0000 0.0000 0.0000
Pu 0.3560 0.3560 0.0000
Pu 0.6440 0.6440 0.0000
C 0.5000 0.0000 0.5000
S 0.1744 0.6744 0.5000
S 0.8256 0.3256 0.5000

***

Diffraction record for Rb3LiPb2Cl9. The powder XRD pattern is simulated, not measured: it uses DFT lattice parameters and positions (PBE) and CuKα.
Peak positions follow from Bragg's law for the DFT cell and can differ from measured ones.

Peak list (10 most intense, 2θ = 10–90°, low angle first)
- 2θ = 13.4°, rel. 30
- 2θ = 16.3°, rel. 70
- 2θ = 23.1°, rel. 80
- 2θ = 23.3°, rel. 76
- 2θ = 33.0°, rel. 100
- 2θ = 37.2°, rel. 20
- 2θ = 40.8°, rel. 37
- 2θ = 47.1°, rel. 32
- 2θ = 47.6°, rel. 34
- 2θ = 64.5°, rel. 20

Structural model:
a = 7.6450 Å, b = 7.6450 Å, c = 9.4837 Å
α = 90.00°, β = 90.00°, γ = 120.00°
Fractional positions:
Rb 0.0000 0.0000 0.0000
Rb 0.3333 0.6667 0.6442
Rb 0.6667 0.3333 0.3558
Li 0.0000 0.0000 0.5000
Pb 0.3333 0.6667 0.1833
Pb 0.6667 0.3333 0.8167
Cl 0.0000 0.5000 0.0000
Cl 0.1624 0.3249 0.3445
Cl 0.1624 0.8376 0.3445
Cl 0.3249 0.1624 0.6555
Cl 0.5000 0.0000 0.0000
Cl 0.5000 0.5000 0.0000
Cl 0.6751 0.8376 0.3445
Cl 0.8376 0.1624 0.6555
Cl 0.8376 0.6751 0.6555

***

Diffraction record for Zr2Sc7Pa. The powder XRD pattern is simulated, not measured: it uses DFT lattice parameters and positions (PBE) and CuKα.
Peak positions follow from Bragg's law for the DFT cell and can differ from measured ones.

Peak list (10 most intense, 2θ = 10–90°, low angle first)
- 2θ = 11.9°, rel. 49
- 2θ = 17.3°, rel. 51
- 2θ = 31.4°, rel. 54
- 2θ = 33.3°, rel. 81
- 2θ = 34.0°, rel. 91
- 2θ = 34.1°, rel. 100
- 2θ = 35.5°, rel. 69
- 2θ = 36.8°, rel. 50
- 2θ = 39.8°, rel. 33
- 2θ = 41.1°, rel. 51

Structural model:
a = 7.9345 Å, b = 3.0934 Å, c = 10.6687 Å
α = 90.00°, β = 111.01°, γ = 90.00°
Fractional positions:
Zr 0.2241 0.0000 0.1075
Zr 0.7759 0.0000 0.8925
Sc 0.0000 0.0000 0.5000
Sc 0.0981 0.0000 0.8101
Sc 0.2871 0.5000 0.3834
Sc 0.4025 0.0000 0.6918
Sc 0.5975 0.0000 0.3082
Sc 0.7129 0.5000 0.6166
Sc 0.9019 0.0000 0.1899
Pa 0.5000 0.5000 0.0000

***

Diffraction record for CsKVI6. The powder XRD pattern is simulated, not measured: it uses DFT lattice parameters and positions (PBE) and CuKα.
Peak positions follow from Bragg's law for the DFT cell and can differ from measured ones.

Peak list (10 most intense, 2θ = 10–90°, low angle first)
- 2θ = 11.9°, rel. 36
- 2θ = 17.0°, rel. 35
- 2θ = 23.9°, rel. 19
- 2θ = 24.1°, rel. 100
- 2θ = 32.2°, rel. 45
- 2θ = 34.2°, rel. 70
- 2θ = 36.2°, rel. 19
- 2θ = 49.6°, rel. 22
- 2θ = 55.2°, rel. 20
- 2θ = 55.5°, rel. 18

Structural model:
a = 8.5991 Å, b = 8.5991 Å, c = 7.2714 Å
α = 90.00°, β = 90.00°, γ = 120.05°
Fractional positions:
Cs 0.0000 0.0000 0.0000
K 0.6664 0.3336 0.5000
V 0.3333 0.6667 0.5000
I 0.0684 0.4137 0.2802
I 0.0688 0.6542 0.7211
I 0.3456 0.4146 0.7204
I 0.3458 0.9312 0.2789
I 0.5854 0.6544 0.2796
I 0.5863 0.9316 0.7198